Record 1
Theoretical powder X-ray diffraction pattern of Na5B7C3 for Cu Kα, 1.54184 Å, from the PBE geometry in Alexandria.
No peak broadening, texture or thermal motion is included.

Largest 12 diffraction maxima, sorted by position, 15° ≤ 2θ ≤ 90°:
2theta	d (Å)	Rel. int.
34.89	2.572	8
36.27	2.477	12
40.93	2.205	36
42.15	2.144	100
56.82	1.620	7
63.46	1.466	12
66.12	1.413	6
77.08	1.237	11
77.50	1.232	4
79.17	1.210	12
80.78	1.190	7
81.62	1.180	6

Crystal structure
a = 8.5684 Å, b = 12.9366 Å, c = 12.9366 Å
α = 12.54°, β = 90.00°, γ = 90.00°
Fractional positions:
Na (0.2450, 0.0000, 0.0000)
Na (0.2458, 0.7990, 0.7990)
Na (0.2470, 0.2004, 0.2004)
Na (0.2480, 0.3987, 0.3987)
Na (0.2479, 0.6011, 0.6011)
Na (0.7520, 0.3987, 0.3987)
Na (0.7521, 0.6011, 0.6011)
Na (0.7530, 0.2004, 0.2004)
Na (0.7542, 0.7990, 0.7990)
Na (0.7550, 0.0000, 0.0000)
B (0.0000, 0.0733, 0.0733)
B (0.0000, 0.2662, 0.2662)
B (0.0000, 0.4599, 0.4599)
B (0.0000, 0.5327, 0.5327)
B (0.0000, 0.6693, 0.6693)
B (0.0000, 0.8629, 0.8629)
B (0.5000, 0.0739, 0.0739)
B (0.5000, 0.1409, 0.1409)
B (0.5000, 0.3227, 0.3227)
B (0.5000, 0.4698, 0.4698)
B (0.5000, 0.5346, 0.5346)
B (0.5000, 0.7324, 0.7324)
B (0.5000, 0.8637, 0.8637)
B (0.5000, 0.9274, 0.9274)
C (0.0000, 0.1370, 0.1370)
C (0.0000, 0.3309, 0.3309)
C (0.0000, 0.7340, 0.7340)
C (0.0000, 0.9281, 0.9281)
C (0.5000, 0.2628, 0.2628)
C (0.5000, 0.6704, 0.6704)

Record 2
Theoretical powder X-ray diffraction pattern of PmPr3Sm6 for Cu Kα, 1.54184 Å, from the PBE geometry in Alexandria.
No peak broadening, texture or thermal motion is included.

Largest 12 diffraction maxima, sorted by position, 15° ≤ 2θ ≤ 90°:
2theta	d (Å)	Rel. int.
28.58	3.124	68
30.72	2.910	100
31.68	2.825	15
40.76	2.214	13
42.45	2.129	23
48.40	1.881	11
53.31	1.718	23
54.62	1.680	19
55.98	1.643	13
63.98	1.455	12
73.83	1.283	10
88.99	1.100	10

Crystal structure
a = 7.0513 Å, b = 7.0513 Å, c = 7.0513 Å
α = 91.27°, β = 91.27°, γ = 91.27°
Fractional positions:
Pm (0.0000, 0.0000, 0.0000)
Pr (0.2494, 0.2494, 0.2494)
Pr (0.4999, 0.4999, 0.4999)
Pr (0.7508, 0.7508, 0.7508)
Sm (0.0757, 0.7518, 0.4250)
Sm (0.2496, 0.5762, 0.9256)
Sm (0.4250, 0.0757, 0.7518)
Sm (0.5762, 0.9256, 0.2496)
Sm (0.7518, 0.4250, 0.0757)
Sm (0.9256, 0.2496, 0.5762)

Record 3
Theoretical powder X-ray diffraction pattern of TcHgSF2 for Cu Kα, 1.54184 Å, from the PBE geometry in Alexandria.
No peak broadening, texture or thermal motion is included.

Largest 12 diffraction maxima, sorted by position, 15° ≤ 2θ ≤ 90°:
2theta	d (Å)	Rel. int.
20.39	4.356	22
26.32	3.386	100
28.99	3.080	48
33.30	2.690	27
41.45	2.178	29
44.72	2.026	30
49.77	1.832	37
54.18	1.693	26
55.40	1.659	13
70.44	1.337	12
71.50	1.320	13
77.91	1.226	12

Crystal structure
a = 4.3565 Å, b = 4.3565 Å, c = 5.3809 Å
α = 90.00°, β = 90.00°, γ = 90.00°
Fractional positions:
Tc (0.0000, 0.0000, 0.0000)
Hg (0.5000, 0.5000, 0.5000)
S (0.5000, 0.5000, 0.0000)
F (0.0000, 0.5000, 0.5000)
F (0.5000, 0.0000, 0.5000)

Record 4
Theoretical powder X-ray diffraction pattern of CsTiAlO4 for Cu Kα, 1.54184 Å, from the PBE geometry in Alexandria.
No peak broadening, texture or thermal motion is included.

Largest 12 diffraction maxima, sorted by position, 15° ≤ 2θ ≤ 90°:
2theta	d (Å)	Rel. int.
17.61	5.037	15
25.30	3.520	46
26.26	3.394	100
28.22	3.162	15
30.69	2.913	18
30.81	2.902	20
39.23	2.296	10
42.26	2.138	11
43.30	2.089	8
49.33	1.847	14
52.08	1.756	10
55.53	1.655	8

Crystal structure
a = 7.4190 Å, b = 7.4190 Å, c = 7.4190 Å
α = 133.94°, β = 103.51°, γ = 94.15°
Fractional positions:
Cs (0.0000, 0.0000, 0.0000)
Cs (0.6133, 0.1133, 0.5000)
Ti (0.1933, 0.3938, 0.7994)
Ti (0.5944, 0.3938, 0.2006)
Al (0.0462, 0.7317, 0.3146)
Al (0.4171, 0.7317, 0.6854)
O (0.0384, 0.0530, 0.4782)
O (0.0384, 0.5602, 0.9854)
O (0.2539, 0.7539, 0.5000)
O (0.2923, 0.5610, 0.7313)
O (0.4023, 0.4023, 0.0000)
O (0.5748, 0.0530, 0.0146)
O (0.5748, 0.5602, 0.5218)
O (0.8298, 0.5610, 0.2687)

Record 5
Theoretical powder X-ray diffraction pattern of NaReNi for Cu Kα, 1.54184 Å, from the PBE geometry in Alexandria.
No peak broadening, texture or thermal motion is included.

Largest 12 diffraction maxima, sorted by position, 15° ≤ 2θ ≤ 90°:
2theta	d (Å)	Rel. int.
16.93	5.237	43
33.34	2.688	59
34.48	2.601	24
36.62	2.454	38
40.57	2.223	70
42.64	2.120	80
42.95	2.106	41
43.85	2.065	37
46.19	1.965	100
48.54	1.876	22
51.15	1.786	34
57.68	1.598	20

Crystal structure
a = 2.6212 Å, b = 4.2119 Å, c = 10.5540 Å
α = 90.02°, β = 97.10°, γ = 90.00°
Fractional positions:
Na (0.0000, 0.0000, 0.0000)
Na (0.3443, 0.4996, 0.7125)
Re (0.6402, 0.0024, 0.2809)
Re (0.7152, 0.5026, 0.4316)
Ni (0.1069, 0.5024, 0.2137)
Ni (0.2493, 0.0028, 0.4988)

Record 6
Theoretical powder X-ray diffraction pattern of NdDy2HoTe6 for Cu Kα, 1.54184 Å, from the PBE geometry in Alexandria.
No peak broadening, texture or thermal motion is included.

Largest 12 diffraction maxima, sorted by position, 15° ≤ 2θ ≤ 90°:
2theta	d (Å)	Rel. int.
15.63	5.671	35
21.38	4.156	27
26.22	3.398	91
31.55	2.835	21
34.37	2.609	100
39.37	2.289	18
40.28	2.239	64
45.09	2.011	21
48.70	1.870	14
53.96	1.699	26
67.62	1.385	20
69.44	1.354	23

Crystal structure
a = 8.3559 Å, b = 8.3559 Å, c = 8.3559 Å
α = 55.30°, β = 55.30°, γ = 55.30°
Fractional positions:
Nd (0.0000, 0.0000, 0.0000)
Dy (0.3102, 0.3102, 0.3102)
Dy (0.8121, 0.8121, 0.8121)
Ho (0.4974, 0.4974, 0.4974)
Te (0.0900, 0.7049, 0.4172)
Te (0.2177, 0.5846, 0.9046)
Te (0.4172, 0.0900, 0.7049)
Te (0.5846, 0.9046, 0.2177)
Te (0.7049, 0.4172, 0.0900)
Te (0.9046, 0.2177, 0.5846)

Record 7
Theoretical powder X-ray diffraction pattern of TbSmMg for Cu Kα, 1.54184 Å, from the PBE geometry in Alexandria.
No peak broadening, texture or thermal motion is included.

Largest 12 diffraction maxima, sorted by position, 15° ≤ 2θ ≤ 90°:
2theta	d (Å)	Rel. int.
24.17	3.682	37
26.07	3.417	26
26.49	3.365	29
31.18	2.869	41
32.51	2.754	56
32.62	2.745	100
32.88	2.724	98
43.97	2.059	20
48.30	1.884	19
57.91	1.592	19
58.39	1.580	19
59.43	1.555	20

Crystal structure
a = 17.2135 Å, b = 3.7690 Å, c = 5.5094 Å
α = 90.00°, β = 90.91°, γ = 90.00°
Fractional positions:
Tb (0.0897, 0.0000, 0.2401)
Tb (0.4103, 0.5000, 0.7599)
Tb (0.5897, 0.5000, 0.2401)
Tb (0.9103, 0.0000, 0.7599)
Sm (0.2271, 0.0000, 0.7492)
Sm (0.2729, 0.5000, 0.2508)
Sm (0.7271, 0.5000, 0.7492)
Sm (0.7729, 0.0000, 0.2508)
Mg (0.0666, 0.5000, 0.7397)
Mg (0.4334, 0.0000, 0.2603)
Mg (0.5666, 0.0000, 0.7397)
Mg (0.9334, 0.5000, 0.2603)

Record 8
Theoretical powder X-ray diffraction pattern of TiNb6Rh2 for Cu Kα, 1.54184 Å, from the PBE geometry in Alexandria.
No peak broadening, texture or thermal motion is included.

Largest 12 diffraction maxima, sorted by position, 15° ≤ 2θ ≤ 90°:
2theta	d (Å)	Rel. int.
39.04	2.307	100
39.12	2.302	25
40.18	2.244	23
55.45	1.657	9
57.28	1.608	8
57.39	1.606	8
69.94	1.345	9
70.66	1.333	8
70.83	1.330	16
72.26	1.307	15
83.82	1.154	5
83.91	1.153	5

Crystal structure
a = 5.3806 Å, b = 5.3806 Å, c = 9.6537 Å
α = 108.78°, β = 108.78°, γ = 35.88°
Fractional positions:
Ti (0.0000, 0.0000, 0.0000)
Nb (0.0042, 0.0042, 0.6710)
Nb (0.3282, 0.3282, 0.1103)
Nb (0.3320, 0.3320, 0.4445)
Nb (0.6680, 0.6680, 0.5555)
Nb (0.6718, 0.6718, 0.8897)
Nb (0.9958, 0.9958, 0.3290)
Rh (0.3407, 0.3407, 0.7861)
Rh (0.6593, 0.6593, 0.2139)

Record 9
Theoretical powder X-ray diffraction pattern of RbTlSe4 for Cu Kα, 1.54184 Å, from the PBE geometry in Alexandria.
No peak broadening, texture or thermal motion is included.

Largest 12 diffraction maxima, sorted by position, 15° ≤ 2θ ≤ 90°:
2theta	d (Å)	Rel. int.
21.88	4.062	58
28.20	3.165	88
28.89	3.091	100
29.39	3.039	93
30.05	2.973	79
32.36	2.766	43
33.40	2.683	94
33.94	2.641	39
41.65	2.169	32
44.62	2.031	36
56.20	1.637	36
56.89	1.618	54

Crystal structure
a = 11.4137 Å, b = 5.3651 Å, c = 8.1457 Å
α = 90.00°, β = 131.15°, γ = 90.00°
Fractional positions:
Rb (0.0000, 0.0000, 0.0000)
Rb (0.5000, 0.5000, 0.0000)
Tl (0.2008, 0.0000, 0.6702)
Tl (0.7008, 0.5000, 0.6702)
Se (0.1014, 0.5000, 0.8223)
Se (0.1391, 0.5000, 0.3837)
Se (0.3368, 0.5000, 0.3313)
Se (0.4203, 0.0000, 0.4283)
Se (0.6014, 0.0000, 0.8223)
Se (0.6391, 0.0000, 0.3837)
Se (0.8368, 0.0000, 0.3313)
Se (0.9203, 0.5000, 0.4283)

Record 10
Theoretical powder X-ray diffraction pattern of TiVMo14 for Cu Kα, 1.54184 Å, from the PBE geometry in Alexandria.
No peak broadening, texture or thermal motion is included.

Largest 10 diffraction maxima, sorted by position, 15° ≤ 2θ ≤ 90°:
2theta	d (Å)	Rel. int.
19.91	4.460	1
22.27	3.991	1
28.30	3.153	1
30.07	2.972	1
36.32	2.474	1
40.46	2.230	100
58.55	1.577	16
73.58	1.287	33
87.40	1.116	2
87.52	1.115	9

Crystal structure
a = 5.4643 Å, b = 5.4643 Å, c = 8.9137 Å
α = 90.00°, β = 90.00°, γ = 109.54°
Fractional positions:
Ti (0.0000, 0.0000, 0.0000)
V (0.5000, 0.5000, 0.0000)
Mo (0.0000, 0.0000, 0.5000)
Mo (0.0000, 0.5000, 0.0000)
Mo (0.0000, 0.5000, 0.5000)
Mo (0.2499, 0.7501, 0.2475)
Mo (0.2499, 0.7501, 0.7525)
Mo (0.2515, 0.2515, 0.2497)
Mo (0.2515, 0.2515, 0.7503)
Mo (0.5000, 0.0000, 0.0000)
Mo (0.5000, 0.0000, 0.5000)
Mo (0.5000, 0.5000, 0.5000)
Mo (0.7485, 0.7485, 0.2497)
Mo (0.7485, 0.7485, 0.7503)
Mo (0.7501, 0.2499, 0.2475)
Mo (0.7501, 0.2499, 0.7525)

Record 11
Theoretical powder X-ray diffraction pattern of SmMgZnGa for Cu Kα, 1.54184 Å, from the PBE geometry in Alexandria.
No peak broadening, texture or thermal motion is included.

Largest 12 diffraction maxima, sorted by position, 15° ≤ 2θ ≤ 90°:
2theta	d (Å)	Rel. int.
22.08	4.027	35
25.54	3.487	1
36.44	2.466	100
43.01	2.103	19
52.48	1.744	17
57.61	1.600	8
59.25	1.560	1
65.57	1.424	35
70.11	1.342	6
77.41	1.233	11
81.68	1.179	6
88.71	1.103	15

Crystal structure
a = 6.9744 Å, b = 6.9744 Å, c = 6.9744 Å
α = 90.00°, β = 90.00°, γ = 90.00°
Fractional positions:
Sm (0.0000, 0.0000, 0.0000)
Sm (0.0000, 0.5000, 0.5000)
Sm (0.5000, 0.0000, 0.5000)
Sm (0.5000, 0.5000, 0.0000)
Mg (0.0000, 0.0000, 0.5000)
Mg (0.0000, 0.5000, 0.0000)
Mg (0.5000, 0.0000, 0.0000)
Mg (0.5000, 0.5000, 0.5000)
Zn (0.2500, 0.2500, 0.2500)
Zn (0.2500, 0.7500, 0.7500)
Zn (0.7500, 0.2500, 0.7500)
Zn (0.7500, 0.7500, 0.2500)
Ga (0.2500, 0.2500, 0.7500)
Ga (0.2500, 0.7500, 0.2500)
Ga (0.7500, 0.2500, 0.2500)
Ga (0.7500, 0.7500, 0.7500)

Record 12
Theoretical powder X-ray diffraction pattern of La2MgCd6 for Cu Kα, 1.54184 Å, from the PBE geometry in Alexandria.
No peak broadening, texture or thermal motion is included.

Largest 12 diffraction maxima, sorted by position, 15° ≤ 2θ ≤ 90°:
2theta	d (Å)	Rel. int.
27.45	3.249	10
31.02	2.883	25
31.88	2.807	46
32.12	2.786	26
35.04	2.561	100
42.75	2.115	15
50.81	1.797	14
51.72	1.767	16
57.27	1.609	21
61.40	1.510	11
68.94	1.362	12
81.77	1.178	9

Crystal structure
a = 6.4347 Å, b = 6.4347 Å, c = 6.4983 Å
α = 90.00°, β = 90.00°, γ = 120.00°
Fractional positions:
La (0.3333, 0.6667, 0.3535)
La (0.6667, 0.3333, 0.6465)
Mg (0.0000, 0.0000, 0.5000)
Cd (0.1770, 0.3540, 0.8314)
Cd (0.1770, 0.8230, 0.8314)
Cd (0.3540, 0.1770, 0.1686)
Cd (0.6460, 0.8230, 0.8314)
Cd (0.8230, 0.1770, 0.1686)
Cd (0.8230, 0.6460, 0.1686)